(1)
For Ta6S, a PBE-relaxed structure gives the theoretical X-ray diffraction stick pattern in this record (Cu Kα (λ = 1.5418 Å)).

Principal peaks in the range 2θ = 5–70°, sorted by position:
- 34.38 deg, I = 380
- 35.87 deg, I = 358
- 36.09 deg, I = 436
- 36.64 deg, I = 529
- 37.04 deg, I = 350
- 37.28 deg, I = 430
- 37.65 deg, I = 542
- 38.07 deg, I = 506
- 38.30 deg, I = 1000
- 39.03 deg, I = 654
- 40.74 deg, I = 386
- 42.37 deg, I = 465

Atomic structure:
a = 5.2816 Å, b = 7.5739 Å, c = 7.5790 Å
α = 113.81°, β = 98.41°, γ = 109.04°
Space group P-1 (No. 2)
Inequivalent atoms, fractional coordinates:
Ta1 0.0000 0.0000 0.0000 [1 per cell]
Ta2 0.0027 0.3717 0.2952 [2 per cell]
Ta3 0.1494 0.7210 0.1503 [2 per cell]
Ta4 0.2288 0.0644 0.6919 [2 per cell]
Ta5 0.4419 0.2249 0.4096 [2 per cell]
Ta6 0.4722 0.4248 0.1368 [2 per cell]
Ta7 0.5000 0.0000 0.0000 [1 per cell]
S1 0.0749 0.2996 0.5846 [2 per cell]

---

(2)
For TaS3, a PBE-relaxed structure gives the theoretical X-ray diffraction stick pattern in this record (Cu Kα (λ = 1.5418 Å)).

Principal peaks in the range 2θ = 5–70°, sorted by position:
- 23.81 deg, I = 300
- 24.54 deg, I = 1000
- 27.08 deg, I = 170
- 33.55 deg, I = 151
- 36.36 deg, I = 412
- 41.56 deg, I = 327
- 42.31 deg, I = 317
- 43.63 deg, I = 222
- 46.34 deg, I = 365
- 50.31 deg, I = 173
- 54.80 deg, I = 146
- 58.65 deg, I = 131

Atomic structure:
a = 5.3424 Å, b = 7.4746 Å, c = 6.5857 Å
α = 90.00°, β = 90.00°, γ = 90.00°
Space group Aea2 (No. 41)
Inequivalent atoms, fractional coordinates:
Ta1 0.0000 0.0000 0.0000 [4 per cell]
S1 0.0000 0.0000 0.6212 [4 per cell]
S2 0.1753 0.1984 0.3225 [8 per cell]